# 1
Diffraction record for Rb5Pb2O6. The powder XRD pattern is simulated, not measured: it uses a structure optimized by DFT (PBE) and λ = 1.5418 Å (Cu Kα).
Intensities are scaled so that the largest is 100.

Principal peaks in the range 10 to 80 degrees two-theta, in order of rising 2θ:
two_theta	d [Å]	Rel. int.
12.05	7.344	50
14.19	6.242	85
15.52	5.710	55
17.07	5.194	57
19.26	4.609	58
26.39	3.377	80
27.37	3.258	99
28.41	3.142	59
29.15	3.063	100
30.40	2.941	43
31.43	2.846	41
35.39	2.537	48

Crystal structure
Lattice parameters (Å, degrees): 7.1571 7.1571 15.0392 100.34 100.34 66.55
Fractional positions:
1 Rb 0.1127 0.8873 0.7500
2 Rb 0.2028 0.7324 0.9928
3 Rb 0.2334 0.4658 0.2842
4 Rb 0.2676 0.7972 0.5072
5 Rb 0.4658 0.2334 0.7842
6 Rb 0.5342 0.7666 0.2158
7 Rb 0.7324 0.2028 0.4928
8 Rb 0.7666 0.5342 0.7158
9 Rb 0.7972 0.2676 0.0072
10 Rb 0.8873 0.1127 0.2500
11 Pb 0.1837 0.3652 0.5704
12 Pb 0.3652 0.1837 0.0704
13 Pb 0.6348 0.8163 0.9296
14 Pb 0.8163 0.6348 0.4296
15 O 0.0781 0.3311 0.4222
16 O 0.1189 0.1719 0.6414
17 O 0.1719 0.1189 0.1414
18 O 0.3311 0.0781 0.9222
19 O 0.4405 0.4430 0.1185
20 O 0.4430 0.4405 0.6185
21 O 0.5570 0.5595 0.3815
22 O 0.5595 0.5570 0.8815
23 O 0.6689 0.9219 0.0778
24 O 0.8281 0.8811 0.8586
25 O 0.8811 0.8281 0.3586
26 O 0.9219 0.6689 0.5778



# 2
Diffraction record for Ac2ThNpN5. The powder XRD pattern is simulated, not measured: it uses a structure optimized by DFT (PBE) and λ = 1.5418 Å (Cu Kα).
Intensities are scaled so that the largest is 100.

Principal peaks in the range 10 to 80 degrees two-theta, in order of rising 2θ:
two_theta	d [Å]	Rel. int.
28.77	3.103	100
30.42	2.938	52
38.61	2.332	12
43.56	2.078	22
49.93	1.827	21
53.04	1.726	40
59.59	1.551	14
63.30	1.469	7
63.93	1.456	7
70.98	1.328	9
71.84	1.314	9
76.66	1.243	7

Crystal structure
Lattice parameters (Å, degrees): 4.1555 4.1555 9.3286 90.00 90.00 90.00
Fractional positions:
1 Ac 0.0000 0.0000 0.2224
2 Ac 0.0000 0.0000 0.7776
3 Th 0.5000 0.5000 0.5000
4 Np 0.5000 0.5000 0.0000
5 N 0.0000 0.0000 0.5000
6 N 0.0000 0.5000 0.0000
7 N 0.5000 0.0000 0.0000
8 N 0.5000 0.5000 0.2544
9 N 0.5000 0.5000 0.7456